Calculated powder X-ray diffraction pattern of AlIn2Hg for CuKα, from a cell relaxed with GGA-PBE.
No peak broadening, texture or thermal motion is included.

Structure:
Lattice parameters (Å, degrees): 5.803 5.803 5.547 108.58 108.58 33.25
Fractional coordinates of all 4 atoms:
Al  0.000  0.000  0.000
In  0.259  0.259  0.856
In  0.472  0.472  0.514
Hg  0.706  0.706  0.317

Largest 6 diffraction maxima, by angle, 2θ from 10° to 90°:
d/Å	Rel. int.
5.239	56.8
2.733	74.1
2.620	56.7
2.596	100.0
2.407	81.9
1.597	35.0